1.
CuS2N2O8: calculated XRD peak list (Cu Ka), based on a crystal structure in the Materials Project, relaxed with GGA-PBE.
No peak broadening, texture or thermal motion is included.

Most intense lines, 2θ from 10° to 80°, in order of falling intensity:
| d_spacing | I_rel |
| --- | --- |
| 6.771 | 1000 |
| 6.222 | 809 |
| 5.327 | 696 |
| 2.905 | 319 |
| 3.249 | 299 |
| 3.223 | 237 |
| 2.961 | 230 |
| 4.253 | 171 |
| 4.032 | 163 |
| 2.180 | 150 |

Cell and atoms:
Cell lengths 9.3573, 9.4051, 10.1778 Å; angles 113.85, 92.46, 90.79 degrees
Space group P-1 (No. 2)
One atom of each set of equivalent atoms:
Cu1 0.1377 0.3459 0.0828
Cu2 0.3553 0.0663 0.3328
S1 0.0732 0.2493 0.3181
S2 0.1317 0.6698 0.1217
S3 0.3663 0.1092 0.6439
S4 0.4392 0.2906 0.2169
N1 0.0000 0.0000 0.5000
N2 0.1991 0.4635 0.6926
N3 0.2272 0.9446 0.9088
N4 0.3156 0.6692 0.4544
N5 0.5000 0.5000 0.0000
O1 0.0357 0.7256 0.0266
O2 0.0602 0.6570 0.2408
O3 0.0737 0.7872 0.6579
O4 0.0909 0.1954 0.1560
O5 0.1124 0.4143 0.3925
O6 0.1677 0.1455 0.3660
O7 0.1771 0.5051 0.0196
O8 0.2363 0.1320 0.7237
O9 0.2554 0.7779 0.1598
O10 0.3329 0.0008 0.4842
O11 0.3330 0.3699 0.1512
O12 0.3820 0.1219 0.1747
O13 0.4278 0.7097 0.8520
O14 0.4370 0.2533 0.6546
O15 0.4457 0.3693 0.3735
O16 0.4588 0.0133 0.7039

***

2.
Ba2SrCa3Mg2Si4O16: calculated XRD peak list (Cu Ka), based on a crystal structure in the Materials Project, relaxed with GGA-PBE.
No peak broadening, texture or thermal motion is included.

Most intense lines, 2θ from 10° to 80°, in order of falling intensity:
| d_spacing | I_rel |
| --- | --- |
| 2.754 | 1000 |
| 2.807 | 825 |
| 3.932 | 571 |
| 1.966 | 493 |
| 1.600 | 299 |
| 2.256 | 292 |
| 1.590 | 209 |
| 2.560 | 206 |
| 2.315 | 197 |
| 1.377 | 167 |

Cell and atoms:
Cell lengths 5.5084, 6.9451, 9.5384 Å; angles 90.00, 90.02, 90.00 degrees
Space group P1 (No. 1)
One atom of each set of equivalent atoms:
Ba1 0.0000 0.0000 0.0000
Ba2 0.4999 0.9999 0.4988
Sr1 0.4978 0.6582 0.8322
Ca1 0.0002 0.3337 0.6648
Ca2 0.0033 0.6651 0.3332
Ca3 0.4996 0.3344 0.1673
Mg1 0.0002 0.4994 0.0015
Mg2 0.4997 0.4996 0.4974
Si1 0.9997 0.2261 0.3326
Si2 0.0014 0.7731 0.6632
Si3 0.4983 0.7730 0.1689
Si4 0.5002 0.2290 0.8328
O1 0.0573 0.3210 0.1763
O2 0.2061 0.3209 0.4392
O3 0.2365 0.3224 0.8830
O4 0.2564 0.6786 0.6026
O5 0.2822 0.6777 0.0697
O6 0.4479 0.6781 0.3254
O7 0.5003 0.0068 0.1669
O8 0.5008 0.9969 0.8328
O9 0.5567 0.3235 0.6760
O10 0.7065 0.3238 0.9399
O11 0.7367 0.3221 0.3820
O12 0.7583 0.6767 0.1147
O13 0.7873 0.6777 0.5622
O14 0.9661 0.6774 0.8216
O15 0.9994 0.0070 0.6652
O16 0.9993 0.9923 0.3327

***

3.
GdCo5P3: calculated XRD peak list (Cu Ka), based on a crystal structure in the Materials Project, relaxed with GGA-PBE.
No peak broadening, texture or thermal motion is included.

Most intense lines, 2θ from 10° to 80°, in order of falling intensity:
| d_spacing | I_rel |
| --- | --- |
| 2.302 | 1000 |
| 2.288 | 684 |
| 1.826 | 371 |
| 2.232 | 260 |
| 1.700 | 215 |
| 2.370 | 187 |
| 3.303 | 186 |
| 1.244 | 148 |
| 2.965 | 147 |
| 2.516 | 142 |

Cell and atoms:
Cell lengths 11.7360, 3.6523, 10.3040 Å; angles 90.00, 90.00, 90.00 degrees
Space group Pnma (No. 62)
One atom of each set of equivalent atoms:
Gd1 0.2027 0.2500 0.0831
Co1 0.0093 0.7500 0.7157
Co2 0.0119 0.7500 0.0937
Co3 0.0677 0.7500 0.4677
Co4 0.1757 0.2500 0.7791
Co5 0.1977 0.2500 0.3822
P1 0.1085 0.7500 0.8973
P2 0.1116 0.2500 0.5816
P3 0.1301 0.7500 0.2717

***

4.
Zr5Al4: calculated XRD peak list (Cu Ka), based on a crystal structure in the Materials Project, relaxed with GGA-PBE.
No peak broadening, texture or thermal motion is included.

Most intense lines, 2θ from 10° to 80°, in order of falling intensity:
| d_spacing | I_rel |
| --- | --- |
| 2.393 | 1000 |
| 2.445 | 929 |
| 3.420 | 466 |
| 1.710 | 307 |
| 2.501 | 305 |
| 1.401 | 245 |
| 1.247 | 207 |
| 3.668 | 140 |
| 1.285 | 126 |
| 2.772 | 121 |

Cell and atoms:
Cell lengths 8.4697, 8.4697, 5.8000 Å; angles 90.00, 90.00, 120.00 degrees
Space group P6_3/mcm (No. 193)
One atom of each set of equivalent atoms:
Zr1 0.0000 0.2896 0.2500
Zr2 0.3333 0.6667 0.0000
Al1 0.0000 0.0000 0.0000
Al2 0.0000 0.3705 0.7500

***

5.
ReAgO2: calculated XRD peak list (Cu Ka), based on a crystal structure in the Materials Project, relaxed with GGA-PBE.
No peak broadening, texture or thermal motion is included.

Most intense lines, 2θ from 10° to 80°, in order of falling intensity:
| d_spacing | I_rel |
| --- | --- |
| 2.697 | 1000 |
| 2.956 | 403 |
| 2.143 | 357 |
| 1.735 | 328 |
| 1.652 | 285 |
| 1.321 | 238 |
| 1.349 | 139 |
| 1.515 | 111 |
| 5.395 | 88 |
| 1.217 | 88 |

Cell and atoms:
Cell lengths 6.0620, 6.0620, 11.8257 Å; angles 90.00, 90.00, 90.00 degrees
Space group I4_1/amd (No. 141, origin choice 2)
One atom of each set of equivalent atoms:
Re1 0.0000 0.0000 0.0000
Ag1 0.0000 0.0000 0.5000
O1 0.0000 0.0556 0.6983